NaTb2Te3: computed PXRD pattern (Cu Kα X-rays), based on a PBE-relaxed structure.

```
data_NaTb2Te3
_cell_length_a 4.3849
_cell_length_b 6.2425
_cell_length_c 13.3902
_cell_angle_alpha 90.00
_cell_angle_beta 90.00
_cell_angle_gamma 90.00
_symmetry_space_group_name_H-M 'I m m m'
_symmetry_Int_Tables_number 71
_symmetry_space_group_name_Hall '-I 2 2'
loop_
_atom_site_label
_atom_site_type_symbol
_atom_site_fract_x
_atom_site_fract_y
_atom_site_fract_z
Na1 Na 0.0000 0.0000 0.0000
Tb1 Tb 0.0000 0.0000 0.3360
Te1 Te 0.0000 0.5000 0.0000
Te2 Te 0.0000 0.5000 0.3293
```

Most intense lines, 10 to 90 degrees two-theta, in order of rising 2θ:
2θ = 15.66°, I 11.1; 2θ = 28.56°, I 100.0; 2θ = 40.42°, I 12.9; 2θ = 40.84°, I 50.6; 2θ = 41.17°, I 12.4; 2θ = 50.26°, I 13.7; 2θ = 50.90°, I 13.4; 2θ = 59.07°, I 8.4; 2θ = 66.97°, I 23.0; 2θ = 73.79°, I 8.7